Structure and simulated powder XRD pattern of Th2AsRh6Se (a PBE-relaxed structure; λ = 1.5418 Å (Cu Kα)).
Intensities are scaled so that the largest is 100.

Largest 8 diffraction maxima, low angle first, 2θ = 5–70°:
2θ/deg	d_spacing	I_rel
28.61	3.120	100
30.43	2.937	83
38.71	2.326	87
39.32	2.291	91
42.45	2.129	60
42.83	2.111	93
59.24	1.560	55
64.85	1.438	27

```
20
Lattice="5.5536 0.0000 0.0000 0.0000 8.5174 0.0000 0.0000 0.0000 8.1125" Properties=species:S:1:pos:R:3 pbc="T T T"
Th 1.3884 0.0460 1.9103
Th 1.3884 4.2126 1.9103
Th 4.1652 4.3047 6.2022
Th 4.1652 8.4713 6.2022
As 1.3884 6.3880 6.1722
As 4.1652 2.1293 1.9403
Rh 0.0008 2.1293 8.1082
Rh 5.5528 6.3880 0.0043
Rh 0.0093 2.1293 3.9959
Rh 1.3884 0.0083 4.9125
Rh 1.3884 4.2504 4.9125
Rh 2.7675 2.1293 3.9959
Rh 2.7760 2.1293 8.1082
Rh 2.7776 6.3880 0.0043
Rh 2.7862 6.3880 4.1166
Rh 4.1652 4.2670 3.2000
Rh 4.1652 8.5091 3.2000
Rh 5.5443 6.3880 4.1166
Se 1.3884 2.1293 6.1415
Se 4.1652 6.3880 1.9710
```

=====

Structure and simulated powder XRD pattern of Na12Sb7Pt (a PBE-relaxed structure; λ = 1.5418 Å (Cu Kα)).
Intensities are scaled so that the largest is 100.

Largest 8 diffraction maxima, low angle first, 2θ = 5–70°:
2θ/deg	d_spacing	I_rel
11.22	7.885	100
12.62	7.015	36
18.62	4.767	46
31.67	2.825	26
33.81	2.651	53
34.11	2.628	24
36.56	2.458	37
39.95	2.257	20

```
20
Lattice="7.0151 4.0502 3.4547 -7.0151 4.0502 3.4547 0.0000 -8.1003 3.4547" Properties=species:S:1:pos:R:3 pbc="T T T"
Na -1.4000 -1.5527 2.5657
Na -3.2278 0.5982 4.2569
Na -0.6447 1.9888 2.5657
Na -2.1319 -2.4963 6.1070
Na 1.0959 -3.0944 4.2569
Na 2.0447 -0.4361 2.5657
Na -2.0447 0.4361 7.7983
Na -1.0959 3.0944 6.1071
Na 2.1319 2.4963 4.2569
Na 0.6447 -1.9888 7.7983
Na 3.2278 -0.5982 6.1071
Na 1.4000 1.5527 7.7983
Sb -6.2793 1.3390 4.0952
Sb -4.2993 -4.7685 6.2687
Sb 1.9800 -6.1075 4.0952
Sb 0.0000 0.0000 5.1820
Sb -1.9800 6.1075 6.2687
Sb 4.2993 4.7685 4.0952
Sb 6.2793 -1.3390 6.2687
Pt 0.0000 0.0000 0.0000
```

=====

Copy entry 1 word for word.
Structure and simulated powder XRD pattern of Th2AsRh6Se (a PBE-relaxed structure; λ = 1.5418 Å (Cu Kα)).
Intensities are scaled so that the largest is 100.

Largest 8 diffraction maxima, low angle first, 2θ = 5–70°:
2θ/deg	d_spacing	I_rel
28.61	3.120	100
30.43	2.937	83
38.71	2.326	87
39.32	2.291	91
42.45	2.129	60
42.83	2.111	93
59.24	1.560	55
64.85	1.438	27

```
20
Lattice="5.5536 0.0000 0.0000 0.0000 8.5174 0.0000 0.0000 0.0000 8.1125" Properties=species:S:1:pos:R:3 pbc="T T T"
Th 1.3884 0.0460 1.9103
Th 1.3884 4.2126 1.9103
Th 4.1652 4.3047 6.2022
Th 4.1652 8.4713 6.2022
As 1.3884 6.3880 6.1722
As 4.1652 2.1293 1.9403
Rh 0.0008 2.1293 8.1082
Rh 5.5528 6.3880 0.0043
Rh 0.0093 2.1293 3.9959
Rh 1.3884 0.0083 4.9125
Rh 1.3884 4.2504 4.9125
Rh 2.7675 2.1293 3.9959
Rh 2.7760 2.1293 8.1082
Rh 2.7776 6.3880 0.0043
Rh 2.7862 6.3880 4.1166
Rh 4.1652 4.2670 3.2000
Rh 4.1652 8.5091 3.2000
Rh 5.5443 6.3880 4.1166
Se 1.3884 2.1293 6.1415
Se 4.1652 6.3880 1.9710
```